No. 1
For AcCoP2Rh2, a cell relaxed with PBE gives the computed powder diffraction line list in this record (Cu Ka).
Lines closer than 0.1° are merged.

Top 10 peaks for 2θ = 5–70°, by angle:
2θ (°), Rel. int.
26.00, 31
29.12, 80
33.32, 27
38.30, 100
41.65, 50
49.76, 11
57.87, 67
60.37, 16
66.91, 8
68.41, 14

Crystal structure
```
data_AcCoP2Rh2
_symmetry_space_group_name_H-M 'P 1'
_symmetry_Int_Tables_number 1
_cell_length_a 4.3368
_cell_length_b 4.3368
_cell_length_c 5.5917
_cell_angle_alpha 90.00
_cell_angle_beta 90.00
_cell_angle_gamma 90.00
loop_
_symmetry_equiv_pos_as_xyz
'x,y,z'
loop_
_atom_site_label
_atom_site_type_symbol
_atom_site_fract_x
_atom_site_fract_y
_atom_site_fract_z
Ac1 Ac 0.0000 0.0000 0.0000
Co1 Co 0.0000 0.0000 0.5000
P1 P 0.0000 0.5000 0.5000
P2 P 0.5000 0.0000 0.5000
Rh1 Rh 0.5000 0.5000 0.2566
Rh2 Rh 0.5000 0.5000 0.7434
```

No. 2
For Rb3HgBr6, a cell relaxed with PBE gives the computed powder diffraction line list in this record (Cu Ka).
Lines closer than 0.1° are merged.

Top 10 peaks for 2θ = 5–70°, by angle:
2θ (°), Rel. int.
9.26, 25
11.86, 27
15.10, 69
16.22, 37
20.88, 100
26.95, 17
29.49, 95
34.57, 66
36.12, 35
48.14, 28

Crystal structure
```
data_Rb3HgBr6
_symmetry_space_group_name_H-M 'P 1'
_symmetry_Int_Tables_number 1
_cell_length_a 12.1188
_cell_length_b 12.1188
_cell_length_c 6.1698
_cell_angle_alpha 90.00
_cell_angle_beta 90.00
_cell_angle_gamma 104.02
loop_
_symmetry_equiv_pos_as_xyz
'x,y,z'
loop_
_atom_site_label
_atom_site_type_symbol
_atom_site_fract_x
_atom_site_fract_y
_atom_site_fract_z
Rb1 Rb 0.1176 0.8824 0.5000
Rb2 Rb 0.1979 0.4341 0.5174
Rb3 Rb 0.4341 0.1979 0.0174
Rb4 Rb 0.5659 0.8021 0.5174
Rb5 Rb 0.8021 0.5659 0.0174
Rb6 Rb 0.8824 0.1176 0.0000
Hg1 Hg 0.2949 0.7051 0.1068
Hg2 Hg 0.7051 0.2949 0.6068
Br1 Br 0.0763 0.6219 0.2131
Br2 Br 0.1591 0.1621 0.2625
Br3 Br 0.1621 0.1591 0.7625
Br4 Br 0.2891 0.7109 0.6737
Br5 Br 0.3781 0.9237 0.2131
Br6 Br 0.4317 0.5683 0.1892
Br7 Br 0.5683 0.4317 0.6892
Br8 Br 0.6219 0.0763 0.7131
Br9 Br 0.7109 0.2891 0.1737
Br10 Br 0.8379 0.8409 0.2625
Br11 Br 0.8409 0.8379 0.7625
Br12 Br 0.9237 0.3781 0.7131
```

No. 3
For Ti6HN, a cell relaxed with PBE gives the computed powder diffraction line list in this record (Cu Ka).
Lines closer than 0.1° are merged.

Top 8 peaks for 2θ = 5–70°, by angle:
2θ (°), Rel. int.
19.94, 1
22.02, 3
34.89, 20
37.69, 23
39.82, 100
52.30, 17
62.57, 16
69.47, 16

Crystal structure
```
data_Ti6HN
_symmetry_space_group_name_H-M 'P 1'
_symmetry_Int_Tables_number 1
_cell_length_a 5.1427
_cell_length_b 5.1427
_cell_length_c 9.5470
_cell_angle_alpha 90.00
_cell_angle_beta 90.00
_cell_angle_gamma 120.00
loop_
_symmetry_equiv_pos_as_xyz
'x,y,z'
loop_
_atom_site_label
_atom_site_type_symbol
_atom_site_fract_x
_atom_site_fract_y
_atom_site_fract_z
Ti1 Ti 0.0074 0.3429 0.1211
Ti2 Ti 0.0074 0.6645 0.3789
Ti3 Ti 0.3355 0.3429 0.3789
Ti4 Ti 0.3355 0.9926 0.1211
Ti5 Ti 0.3429 0.0074 0.6211
Ti6 Ti 0.3429 0.3355 0.8789
Ti7 Ti 0.6571 0.6645 0.1211
Ti8 Ti 0.6571 0.9926 0.3789
Ti9 Ti 0.6645 0.0074 0.8789
Ti10 Ti 0.6645 0.6571 0.6211
Ti11 Ti 0.9926 0.3355 0.6211
Ti12 Ti 0.9926 0.6571 0.8789
H1 H 0.0000 0.0000 0.0000
H2 H 0.0000 0.0000 0.5000
N1 N 0.3333 0.6667 0.2500
N2 N 0.6667 0.3333 0.7500
```

No. 4
For Na4B5C3, a cell relaxed with PBE gives the computed powder diffraction line list in this record (Cu Ka).
Lines closer than 0.1° are merged.

Top 8 peaks for 2θ = 5–70°, by angle:
2θ (°), Rel. int.
5.20, 2
20.90, 1
36.23, 18
42.20, 100
42.53, 25
57.08, 10
65.17, 17
69.26, 1

Crystal structure
```
data_Na4B5C3
_symmetry_space_group_name_H-M 'P 1'
_symmetry_Int_Tables_number 1
_cell_length_a 2.8629
_cell_length_b 2.8629
_cell_length_c 17.0039
_cell_angle_alpha 90.00
_cell_angle_beta 90.00
_cell_angle_gamma 120.00
loop_
_symmetry_equiv_pos_as_xyz
'x,y,z'
loop_
_atom_site_label
_atom_site_type_symbol
_atom_site_fract_x
_atom_site_fract_y
_atom_site_fract_z
Na1 Na 0.0000 0.0000 0.1237
Na2 Na 0.0000 0.0000 0.3724
Na3 Na 0.0000 0.0000 0.6276
Na4 Na 0.0000 0.0000 0.8763
B1 B 0.3333 0.6667 0.2471
B2 B 0.3333 0.6667 0.5000
B3 B 0.3333 0.6667 0.7528
B4 B 0.6667 0.3333 0.0000
B5 B 0.6667 0.3333 0.5000
C1 C 0.3333 0.6667 0.0000
C2 C 0.6667 0.3333 0.2470
C3 C 0.6667 0.3333 0.7530
```

No. 5
For SrAuSeO6, a cell relaxed with PBE gives the computed powder diffraction line list in this record (Cu Ka).
Lines closer than 0.1° are merged.

Top 10 peaks for 2θ = 5–70°, by angle:
2θ (°), Rel. int.
16.60, 100
19.27, 32
25.32, 97
25.75, 91
25.87, 89
33.44, 41
34.23, 71
38.42, 30
48.43, 34
48.93, 49

Crystal structure
```
data_SrAuSeO6
_symmetry_space_group_name_H-M 'P 1'
_symmetry_Int_Tables_number 1
_cell_length_a 5.2417
_cell_length_b 5.2417
_cell_length_c 5.3429
_cell_angle_alpha 90.58
_cell_angle_beta 90.58
_cell_angle_gamma 118.51
loop_
_symmetry_equiv_pos_as_xyz
'x,y,z'
loop_
_atom_site_label
_atom_site_type_symbol
_atom_site_fract_x
_atom_site_fract_y
_atom_site_fract_z
Sr1 Sr 0.0000 0.0000 0.0000
Au1 Au 0.3311 0.6689 0.5000
Se1 Se 0.6648 0.3352 0.5000
O1 O 0.3790 0.0387 0.6861
O2 O 0.3872 0.3672 0.3002
O3 O 0.6328 0.6128 0.6998
O4 O 0.6524 0.0670 0.2856
O5 O 0.9330 0.3476 0.7144
O6 O 0.9613 0.6210 0.3139
```

No. 6
For Pr2HoZnS5, a cell relaxed with PBE gives the computed powder diffraction line list in this record (Cu Ka).
Lines closer than 0.1° are merged.

Top 10 peaks for 2θ = 5–70°, by angle:
2θ (°), Rel. int.
24.55, 62
27.81, 49
28.80, 22
32.41, 47
32.51, 100
38.18, 48
41.85, 18
45.21, 22
46.56, 29
46.72, 23

Crystal structure
```
data_Pr2HoZnS5
_symmetry_space_group_name_H-M 'P 1'
_symmetry_Int_Tables_number 1
_cell_length_a 8.7348
_cell_length_b 8.7348
_cell_length_c 12.0231
_cell_angle_alpha 90.00
_cell_angle_beta 90.00
_cell_angle_gamma 154.28
loop_
_symmetry_equiv_pos_as_xyz
'x,y,z'
loop_
_atom_site_label
_atom_site_type_symbol
_atom_site_fract_x
_atom_site_fract_y
_atom_site_fract_z
Pr1 Pr 0.1149 0.8851 0.5000
Pr2 Pr 0.1316 0.8684 0.1351
Pr3 Pr 0.8684 0.1316 0.6351
Pr4 Pr 0.8851 0.1149 0.0000
Ho1 Ho 0.1979 0.8021 0.8319
Ho2 Ho 0.8021 0.1979 0.3319
Zn1 Zn 0.4535 0.5465 0.2615
Zn2 Zn 0.5465 0.4535 0.7615
S1 S 0.0403 0.9597 0.8660
S2 S 0.2910 0.7090 0.4892
S3 S 0.3158 0.6842 0.1731
S4 S 0.3554 0.6446 0.8204
S5 S 0.4938 0.5062 0.5877
S6 S 0.5062 0.4938 0.0877
S7 S 0.6446 0.3554 0.3204
S8 S 0.6842 0.3158 0.6731
S9 S 0.7090 0.2910 0.9892
S10 S 0.9597 0.0403 0.3660
```

No. 7
For Pm4AlC, a cell relaxed with PBE gives the computed powder diffraction line list in this record (Cu Ka).
Lines closer than 0.1° are merged.

Top 10 peaks for 2θ = 5–70°, by angle:
2θ (°), Rel. int.
25.89, 45
26.40, 100
37.31, 91
37.68, 51
46.29, 38
47.95, 12
54.35, 18
61.15, 17
61.41, 19
67.78, 31

Crystal structure
```
data_Pm4AlC
_symmetry_space_group_name_H-M 'P 1'
_symmetry_Int_Tables_number 1
_cell_length_a 4.7744
_cell_length_b 4.7744
_cell_length_c 6.8818
_cell_angle_alpha 90.00
_cell_angle_beta 90.00
_cell_angle_gamma 90.00
loop_
_symmetry_equiv_pos_as_xyz
'x,y,z'
loop_
_atom_site_label
_atom_site_type_symbol
_atom_site_fract_x
_atom_site_fract_y
_atom_site_fract_z
Pm1 Pm 0.0000 0.5000 0.2195
Pm2 Pm 0.0000 0.5000 0.7805
Pm3 Pm 0.5000 0.0000 0.2195
Pm4 Pm 0.5000 0.0000 0.7805
Al1 Al 0.0000 0.0000 0.5000
C1 C 0.5000 0.5000 0.0000
```

No. 8
For CaNpCd2O6, a cell relaxed with PBE gives the computed powder diffraction line list in this record (Cu Ka).
Lines closer than 0.1° are merged.

Top 10 peaks for 2θ = 5–70°, by angle:
2θ (°), Rel. int.
17.36, 27
18.74, 57
21.28, 24
29.41, 100
31.10, 97
35.84, 29
43.34, 41
47.62, 39
54.30, 38
55.34, 29

Crystal structure
```
data_CaNpCd2O6
_symmetry_space_group_name_H-M 'P 1'
_symmetry_Int_Tables_number 1
_cell_length_a 6.0926
_cell_length_b 6.0926
_cell_length_c 6.0926
_cell_angle_alpha 56.32
_cell_angle_beta 56.32
_cell_angle_gamma 56.32
loop_
_symmetry_equiv_pos_as_xyz
'x,y,z'
loop_
_atom_site_label
_atom_site_type_symbol
_atom_site_fract_x
_atom_site_fract_y
_atom_site_fract_z
Ca1 Ca 0.0000 0.0000 0.0000
Np1 Np 0.4927 0.4927 0.4927
Cd1 Cd 0.2786 0.2786 0.2786
Cd2 Cd 0.7858 0.7858 0.7858
O1 O 0.1324 0.6995 0.3913
O2 O 0.2401 0.5994 0.8563
O3 O 0.3913 0.1324 0.6995
O4 O 0.5994 0.8563 0.2401
O5 O 0.6995 0.3913 0.1324
O6 O 0.8563 0.2401 0.5994
```

No. 9
For Cd3Cu2P10, a cell relaxed with PBE gives the computed powder diffraction line list in this record (Cu Ka).
Lines closer than 0.1° are merged.

Top 10 peaks for 2θ = 5–70°, by angle:
2θ (°), Rel. int.
14.50, 23
16.75, 18
27.95, 23
29.23, 100
37.01, 26
41.78, 15
44.46, 37
48.66, 44
57.76, 15
62.67, 12

Crystal structure
```
data_Cd3Cu2P10
_symmetry_space_group_name_H-M 'P 1'
_symmetry_Int_Tables_number 1
_cell_length_a 7.4785
_cell_length_b 7.4785
_cell_length_c 7.4785
_cell_angle_alpha 60.12
_cell_angle_beta 60.12
_cell_angle_gamma 60.12
loop_
_symmetry_equiv_pos_as_xyz
'x,y,z'
loop_
_atom_site_label
_atom_site_type_symbol
_atom_site_fract_x
_atom_site_fract_y
_atom_site_fract_z
Cd1 Cd 0.0786 0.4607 0.4607
Cd2 Cd 0.4607 0.0786 0.4607
Cd3 Cd 0.4607 0.4607 0.0786
Cu1 Cu 0.4776 0.4776 0.4776
Cu2 Cu 0.8634 0.8634 0.8634
P1 P 0.3521 0.8764 0.8764
P2 P 0.3567 0.3567 0.8579
P3 P 0.3567 0.8579 0.3567
P4 P 0.4789 0.9932 0.9932
P5 P 0.8579 0.3567 0.3567
P6 P 0.8764 0.3521 0.8764
P7 P 0.8764 0.8764 0.3521
P8 P 0.9919 0.9919 0.9919
P9 P 0.9932 0.4789 0.9932
P10 P 0.9932 0.9932 0.4789
```

No. 10
For Tl3In7Sn2, a cell relaxed with PBE gives the computed powder diffraction line list in this record (Cu Ka).
Lines closer than 0.1° are merged.

Top 10 peaks for 2θ = 5–70°, by angle:
2θ (°), Rel. int.
29.58, 48
30.81, 23
32.22, 16
32.40, 100
33.23, 35
33.66, 20
35.27, 32
37.89, 38
50.30, 21
55.09, 19

Crystal structure
```
data_Tl3In7Sn2
_symmetry_space_group_name_H-M 'P 1'
_symmetry_Int_Tables_number 1
_cell_length_a 5.8222
_cell_length_b 3.2912
_cell_length_c 18.1869
_cell_angle_alpha 90.00
_cell_angle_beta 94.95
_cell_angle_gamma 90.00
loop_
_symmetry_equiv_pos_as_xyz
'x,y,z'
loop_
_atom_site_label
_atom_site_type_symbol
_atom_site_fract_x
_atom_site_fract_y
_atom_site_fract_z
Tl1 Tl 0.0000 0.0000 0.0000
Tl2 Tl 0.2026 0.5000 0.3568
Tl3 Tl 0.7974 0.5000 0.6432
In1 In 0.1551 0.5000 0.8401
In2 In 0.2579 0.0000 0.5260
In3 In 0.3326 0.0000 0.1627
In4 In 0.5000 0.5000 0.0000
In5 In 0.6674 0.0000 0.8373
In6 In 0.7421 0.0000 0.4740
In7 In 0.8449 0.5000 0.1599
Sn1 Sn 0.3136 0.0000 0.6950
Sn2 Sn 0.6864 0.0000 0.3050
```

No. 11
For Tb7PdSe5, a cell relaxed with PBE gives the computed powder diffraction line list in this record (Cu Ka).
Lines closer than 0.1° are merged.

Top 10 peaks for 2θ = 5–70°, by angle:
2θ (°), Rel. int.
27.48, 31
28.72, 87
30.19, 33
30.86, 100
31.94, 73
32.08, 41
40.62, 37
43.82, 32
44.62, 33
45.42, 39

Crystal structure
```
data_Tb7PdSe5
_symmetry_space_group_name_H-M 'P 1'
_symmetry_Int_Tables_number 1
_cell_length_a 7.0145
_cell_length_b 7.0145
_cell_length_c 24.5357
_cell_angle_alpha 90.02
_cell_angle_beta 90.02
_cell_angle_gamma 33.08
loop_
_symmetry_equiv_pos_as_xyz
'x,y,z'
loop_
_atom_site_label
_atom_site_type_symbol
_atom_site_fract_x
_atom_site_fract_y
_atom_site_fract_z
Tb1 Tb 0.0405 0.0405 0.2500
Tb2 Tb 0.1389 0.1389 0.5381
Tb3 Tb 0.1388 0.1388 0.9619
Tb4 Tb 0.2982 0.2982 0.3201
Tb5 Tb 0.2985 0.2985 0.1798
Tb6 Tb 0.4125 0.4125 0.8863
Tb7 Tb 0.4128 0.4128 0.6136
Tb8 Tb 0.5872 0.5872 0.3864
Tb9 Tb 0.5875 0.5875 0.1137
Tb10 Tb 0.7015 0.7015 0.8202
Tb11 Tb 0.7018 0.7018 0.6799
Tb12 Tb 0.8612 0.8612 0.0381
Tb13 Tb 0.8611 0.8611 0.4619
Tb14 Tb 0.9595 0.9595 0.7500
Pd1 Pd 0.3053 0.3053 0.7501
Pd2 Pd 0.6947 0.6947 0.2499
Se1 Se 0.0554 0.0554 0.8558
Se2 Se 0.0556 0.0556 0.6443
Se3 Se 0.2212 0.2212 0.0708
Se4 Se 0.2211 0.2211 0.4292
Se5 Se 0.5000 0.5000 0.0000
Se6 Se 0.5000 0.5000 0.5000
Se7 Se 0.7789 0.7789 0.5708
Se8 Se 0.7788 0.7788 0.9292
Se9 Se 0.9444 0.9444 0.3557
Se10 Se 0.9446 0.9446 0.1442
```

No. 12
For PmYRh4, a cell relaxed with PBE gives the computed powder diffraction line list in this record (Cu Ka).
Lines closer than 0.1° are merged.

Top 10 peaks for 2θ = 5–70°, by angle:
2θ (°), Rel. int.
20.24, 4
23.41, 2
33.35, 31
39.32, 100
41.14, 37
47.88, 3
52.48, 1
53.96, 1
59.60, 11
63.62, 32

Crystal structure
```
data_PmYRh4
_symmetry_space_group_name_H-M 'P 1'
_symmetry_Int_Tables_number 1
_cell_length_a 5.3739
_cell_length_b 5.3739
_cell_length_c 5.3739
_cell_angle_alpha 60.00
_cell_angle_beta 60.00
_cell_angle_gamma 60.00
loop_
_symmetry_equiv_pos_as_xyz
'x,y,z'
loop_
_atom_site_label
_atom_site_type_symbol
_atom_site_fract_x
_atom_site_fract_y
_atom_site_fract_z
Pm1 Pm 0.0000 0.0000 0.0000
Y1 Y 0.2500 0.2500 0.2500
Rh1 Rh 0.1253 0.6249 0.6249
Rh2 Rh 0.6249 0.1253 0.6249
Rh3 Rh 0.6249 0.6249 0.1253
Rh4 Rh 0.6249 0.6249 0.6249
```

No. 13
For Tm6Hg2Ru, a cell relaxed with PBE gives the computed powder diffraction line list in this record (Cu Ka).
Lines closer than 0.1° are merged.

Top 10 peaks for 2θ = 5–70°, by angle:
2θ (°), Rel. int.
21.82, 20
22.34, 20
25.59, 14
35.84, 27
36.42, 100
37.16, 23
52.58, 17
64.78, 19
65.04, 10
66.52, 15

Crystal structure
```
data_Tm6Hg2Ru
_symmetry_space_group_name_H-M 'P 1'
_symmetry_Int_Tables_number 1
_cell_length_a 8.4368
_cell_length_b 8.4368
_cell_length_c 8.4368
_cell_angle_alpha 145.45
_cell_angle_beta 131.03
_cell_angle_gamma 61.31
loop_
_symmetry_equiv_pos_as_xyz
'x,y,z'
loop_
_atom_site_label
_atom_site_type_symbol
_atom_site_fract_x
_atom_site_fract_y
_atom_site_fract_z
Tm1 Tm 0.0861 0.3434 0.7427
Tm2 Tm 0.2319 0.0000 0.2319
Tm3 Tm 0.3993 0.6566 0.7427
Tm4 Tm 0.6007 0.3434 0.2573
Tm5 Tm 0.7681 0.0000 0.7681
Tm6 Tm 0.9139 0.6566 0.2573
Hg1 Hg 0.3337 0.8337 0.5000
Hg2 Hg 0.6663 0.1663 0.5000
Ru1 Ru 0.0000 0.5000 0.5000
```